Computed PXRD pattern of Mn3Cd3Te2O12 for Cu Kα, from a structure optimized by DFT (PBE+U).
Peak positions follow from Bragg's law for the DFT cell and can differ from measured ones.

Crystal structure
```
data_Mn3Cd3Te2O12
_space_group_name_H-M_alt 'P 1'
_space_group_IT_number 1
_space_group_name_Hall 'P 1'
_cell_length_a 6.455
_cell_length_b 6.455
_cell_length_c 6.455
_cell_angle_alpha 90.37
_cell_angle_beta 90.37
_cell_angle_gamma 90.37
loop_
_atom_site_label
_atom_site_type_symbol
_atom_site_fract_x
_atom_site_fract_y
_atom_site_fract_z
Mn1 Mn 0.039 0.737 0.224
Mn2 Mn 0.224 0.039 0.737
Mn3 Mn 0.737 0.224 0.039
Cd1 Cd 0.350 0.535 0.835
Cd2 Cd 0.535 0.835 0.350
Cd3 Cd 0.835 0.350 0.535
Te1 Te 0.280 0.280 0.280
Te2 Te 0.792 0.792 0.792
O1 O 0.083 0.755 0.873
O2 O 0.213 0.992 0.352
O3 O 0.220 0.337 0.574
O4 O 0.337 0.574 0.220
O5 O 0.352 0.213 0.992
O6 O 0.502 0.844 0.714
O7 O 0.574 0.220 0.337
O8 O 0.714 0.502 0.844
O9 O 0.755 0.873 0.083
O10 O 0.844 0.714 0.502
O11 O 0.873 0.083 0.755
O12 O 0.992 0.352 0.213
```

Principal peaks in the range 2θ = 10–90°, in order of falling intensity:
2θ = 34.0°, rel. 100
2θ = 30.9°, rel. 82
2θ = 27.6°, rel. 63
2θ = 52.9°, rel. 50
2θ = 31.1°, rel. 43
2θ = 44.5°, rel. 39
2θ = 24.0°, rel. 30
2θ = 44.3°, rel. 24
2θ = 53.4°, rel. 24
2θ = 19.4°, rel. 23
2θ = 53.1°, rel. 23
2θ = 34.2°, rel. 20